The following is a computed X-ray powder pattern of PmEr8Sc4. It was derived from the GGA-PBE geometry in Alexandria, using Cu Kα (weighted mean of Kα1 and Kα2).
No peak broadening, texture or thermal motion is included.

Principal peaks in the range 2θ from 10° to 80°, low angle first:
d 8.766, intensity 37
d 4.383, intensity 21
d 2.981, intensity 48
d 2.922, intensity 21
d 2.774, intensity 100
d 2.645, intensity 22
d 2.373, intensity 23
d 2.240, intensity 28
d 1.884, intensity 17
d 1.767, intensity 29
d 1.688, intensity 13
d 1.512, intensity 14

Atomic structure:
abc: 7.0672 7.0672 26.2982
angles: 90.00 90.00 120.00
Space group R-3m (No. 166, hexagonal axes)
Asymmetric unit:
Pm  0.0000  0.0000  0.0000
Er  0.0000  0.0000  0.2811
Er  0.0333  0.5166  0.2644
Sc  0.0000  0.0000  0.5000
Sc  0.0000  0.5000  0.5000